The following is a calculated X-ray powder pattern of AgSb3PbS6. It was derived from a crystal structure in the Materials Project, relaxed with GGA-PBE, using a wavelength of 1.5418 Å.

Cell and atoms:
abc: 4.2117 13.0439 19.3508
angles: 90.00 90.00 90.00
Space group Cmc2_1 (No. 36)
Inequivalent atoms, fractional coordinates:
Ag (0.0000, 0.0892, 0.0000) (multiplicity 4)
Sb (0.0000, 0.1177, 0.2359) (multiplicity 4)
Sb (0.0000, 0.3582, 0.9281) (multiplicity 4)
Sb (0.0000, 0.3806, 0.3213) (multiplicity 4)
Pb (0.0000, 0.1654, 0.6101) (multiplicity 4)
S (0.0000, 0.0157, 0.8752) (multiplicity 4)
S (0.0000, 0.1822, 0.1157) (multiplicity 4)
S (0.0000, 0.2409, 0.7694) (multiplicity 4)
S (0.0000, 0.2471, 0.4634) (multiplicity 4)
S (0.0000, 0.4612, 0.0328) (multiplicity 4)
S (0.0000, 0.4894, 0.2115) (multiplicity 4)

Principal peaks in the range 15° ≤ 2θ ≤ 90°, by intensity:
- 30.96 deg, d = 2.888 Å, intensity 100, hkl 1 3 2
- 26.79 deg, d = 3.328 Å, intensity 88, hkl 0 2 5
- 26.18 deg, d = 3.404 Å, intensity 60, hkl 1 1 3
- 32.70 deg, d = 2.739 Å, intensity 39, hkl 1 3 3
- 42.94 deg, d = 2.106 Å, intensity 35, hkl 2 0 0
- 43.71 deg, d = 2.071 Å, intensity 33, hkl 1 1 8
- 24.03 deg, d = 3.703 Å, intensity 30, hkl 1 1 2
- 51.34 deg, d = 1.780 Å, intensity 30, hkl 2 2 5